The following is a calculated powder XRD pattern of Mg6MnFe. It was derived from the PBE geometry in the Materials Project, using λ = 1.5418 Å (Cu Kα).
No peak broadening, texture or thermal motion is included.

Largest 6 diffraction maxima, in order of rising 2θ, 10 to 90 degrees two-theta:
- 2θ 34.27, I 28, hkl 0 2 2
- 2θ 37.03, I 39, hkl 2 0 0
- 2θ 39.00, I 51, hkl 1 0 4
- 2θ 39.10, I 100, hkl 1 2 2
- 2θ 51.31, I 25, hkl 2 2 2
- 2θ 68.09, I 26, hkl 3 0 4

```
data_Mg6MnFe
_chemical_formula_sum 'Mg12 Mn2 Fe2'
_cell_length_a 4.8556
_cell_length_b 6.0365
_cell_length_c 10.5035
_cell_angle_alpha 90.00
_cell_angle_beta 90.00
_cell_angle_gamma 90.00
_symmetry_space_group_name_H-M 'A m m 2'
_symmetry_Int_Tables_number 38
loop_
_symmetry_equiv_pos_as_xyz
'x,y,z'
'-x,-y,z'
'-x,y,z'
'x,-y,z'
'x,y+1/2,z+1/2'
'-x,-y+1/2,z+1/2'
'-x,y+1/2,z+1/2'
'x,-y+1/2,z+1/2'
loop_
_atom_site_label
_atom_site_type_symbol
_atom_site_fract_x
_atom_site_fract_y
_atom_site_fract_z
_atom_site_occupancy
Mg1 Mg 0.0000 0.0000 0.0000 1
Mg2 Mg 0.0000 0.0000 0.4980 1
Mg3 Mg 0.0000 0.2464 0.2611 1
Mg4 Mg 0.5000 0.2499 0.0893 1
Mn1 Mn 0.5000 0.0000 0.8381 1
Fe1 Fe 0.5000 0.0000 0.3397 1
```